The following is a calculated PXRD pattern of Ce5PuN6. It was derived from DFT lattice parameters and positions (PBE), using Cu Kα (λ = 1.5418 Å).

Structure:
```
12
Lattice="3.082 -5.338 0.000 3.082 5.338 0.000 -2.052 0.000 5.813" Properties=species:S:1:pos:R:3 pbc="T T T"
Ce 0.000 0.000 0.000
Ce 2.056 3.560 2.907
Ce 3.082 1.781 0.000
Ce 3.082 -1.781 0.000
Ce 2.056 -3.560 2.907
Pu 2.056 0.000 2.907
N 1.042 1.757 1.469
N 0.029 0.000 4.350
N 1.042 -1.757 1.469
N 3.070 1.757 4.344
N 4.083 0.000 1.463
N 3.070 -1.757 4.344
```

Top 10 peaks for 10° ≤ 2θ ≤ 90°, by intensity:
2θ 30.77, intensity 100; 2θ 35.68, intensity 73; 2θ 51.34, intensity 50; 2θ 61.05, intensity 34; 2θ 86.46, intensity 23; 2θ 83.77, intensity 19; 2θ 64.09, intensity 17; 2θ 61.07, intensity 11; 2θ 75.56, intensity 8; 2θ 17.37, intensity 2